Entry 1:
Starting from a structure optimized by DFT (PBE), the X-ray powder pattern of Sr8Ni3N8 was computed for Cu Kα (λ = 1.5418 Å).

Peak list (8 most intense, 5° ≤ 2θ ≤ 70°, most intense first)
33.68 deg, rel. 100, hkl 0 2 0; 30.06 deg, rel. 69, hkl 5 1 -1; 31.49 deg, rel. 57, hkl 1 1 2; 29.28 deg, rel. 51, hkl 1 1 -2; 27.52 deg, rel. 41, hkl 4 0 -2; 30.20 deg, rel. 32, hkl 5 1 0; 54.66 deg, rel. 27, hkl 6 2 -3; 62.28 deg, rel. 24, hkl 7 1 3

Structure:
```
data_Sr8Ni3N8
_symmetry_space_group_name_H-M 'C 1 2/m 1'
_symmetry_Int_Tables_number 12
_symmetry_space_group_name_Hall '-C 2y'
_cell_length_a 18.443
_cell_length_b 5.323
_cell_length_c 7.456
_cell_angle_alpha 90.00
_cell_angle_beta 105.20
_cell_angle_gamma 90.00
loop_
_atom_site_label
_atom_site_fract_x
_atom_site_fract_y
_atom_site_fract_z
Sr1 0.030 0.000 0.260
Sr2 0.097 0.500 0.960
Sr3 0.170 0.500 0.480
Sr4 0.201 0.000 0.815
Ni1 0.000 0.500 0.500
Ni2 0.187 0.000 0.206
N1 0.026 0.500 0.288
N2 0.103 0.000 0.004
N3 0.177 0.000 0.440
N4 0.220 0.500 0.835
```

***

Entry 2:
Starting from a structure optimized by DFT (PBE), the X-ray powder pattern of ErWC2 was computed for Cu Kα (λ = 1.5418 Å).

Peak list (8 most intense, 5° ≤ 2θ ≤ 70°, most intense first)
35.24 deg, rel. 100, hkl 1 1 2; 33.26 deg, rel. 33, hkl 0 0 4; 32.50 deg, rel. 33, hkl 2 0 1; 32.07 deg, rel. 24, hkl 1 1 1; 40.41 deg, rel. 23, hkl 2 0 3; 56.31 deg, rel. 20, hkl 3 1 1; 60.72 deg, rel. 17, hkl 1 1 6; 40.05 deg, rel. 15, hkl 1 1 3

Structure:
```
data_ErWC2
_symmetry_space_group_name_H-M 'P n m a'
_symmetry_Int_Tables_number 62
_symmetry_space_group_name_Hall '-P 2ac 2n'
_cell_length_a 5.699
_cell_length_b 3.353
_cell_length_c 10.774
_cell_angle_alpha 90.00
_cell_angle_beta 90.00
_cell_angle_gamma 90.00
loop_
_atom_site_label
_atom_site_fract_x
_atom_site_fract_y
_atom_site_fract_z
Er1 0.085 0.250 0.137
W1 0.098 0.750 0.390
C1 0.160 0.250 0.753
C2 0.227 0.250 0.487
```

***

Entry 3:
Starting from a structure optimized by DFT (PBE), the X-ray powder pattern of Fe13Mo9 was computed for Cu Kα (λ = 1.5418 Å).

Peak list (8 most intense, 5° ≤ 2θ ≤ 70°, most intense first)
44.86 deg, rel. 100, hkl 3 1 4; 42.66 deg, rel. 60, hkl 3 1 -5; 40.75 deg, rel. 58, hkl 7 1 1; 40.62 deg, rel. 56, hkl 7 1 -4; 42.43 deg, rel. 50, hkl 9 1 -2; 38.33 deg, rel. 38, hkl 0 2 0; 45.73 deg, rel. 38, hkl 4 2 -3; 46.28 deg, rel. 32, hkl 6 2 -1

Structure:
```
data_Fe13Mo9
_symmetry_space_group_name_H-M 'C 1 2/m 1'
_symmetry_Int_Tables_number 12
_symmetry_space_group_name_Hall '-C 2y'
_cell_length_a 21.518
_cell_length_b 4.696
_cell_length_c 11.897
_cell_angle_alpha 90.00
_cell_angle_beta 113.04
_cell_angle_gamma 90.00
loop_
_atom_site_label
_atom_site_fract_x
_atom_site_fract_y
_atom_site_fract_z
Fe1 0.047 0.000 0.217
Fe2 0.048 0.256 0.784
Fe3 0.104 0.000 0.672
Fe4 0.141 0.261 0.210
Fe5 0.149 0.000 0.888
Fe6 0.153 0.000 0.392
Fe7 0.158 0.251 0.566
Fe8 0.197 0.000 0.112
Fe9 0.243 0.000 0.330
Fe10 0.250 0.250 0.000
Mo1 0.023 0.500 0.113
Mo2 0.032 0.000 0.422
Mo3 0.054 0.500 0.591
Mo4 0.064 0.000 0.000
Mo5 0.080 0.500 0.358
Mo6 0.135 0.500 0.998
Mo7 0.169 0.500 0.792
Mo8 0.223 0.500 0.425
Mo9 0.241 0.000 0.782
```

***

Entry 4:
Starting from a structure optimized by DFT (PBE), the X-ray powder pattern of La6Mg22Al was computed for Cu Kα (λ = 1.5418 Å).

Peak list (8 most intense, 5° ≤ 2θ ≤ 70°, most intense first)
34.83 deg, rel. 100, hkl 4 4 0; 31.92 deg, rel. 97, hkl 3 3 3; 21.12 deg, rel. 78, hkl 2 2 2; 24.44 deg, rel. 44, hkl 4 0 0; 30.05 deg, rel. 41, hkl 4 2 2; 66.37 deg, rel. 34, hkl 7 7 3; 26.67 deg, rel. 33, hkl 3 3 1; 47.96 deg, rel. 31, hkl 7 3 1

Structure:
```
data_La6Mg22Al
_symmetry_space_group_name_H-M 'F m -3 m'
_symmetry_Int_Tables_number 225
_symmetry_space_group_name_Hall '-F 4 2 3'
_cell_length_a 14.570
_cell_length_b 14.570
_cell_length_c 14.570
_cell_angle_alpha 90.00
_cell_angle_beta 90.00
_cell_angle_gamma 90.00
loop_
_atom_site_label
_atom_site_fract_x
_atom_site_fract_y
_atom_site_fract_z
La1 0.000 0.000 0.212
Mg1 0.000 0.250 0.250
Mg2 0.121 0.121 0.379
Mg3 0.171 0.171 0.171
Al1 0.000 0.000 0.500
```

***

Entry 5:
Starting from a structure optimized by DFT (PBE), the X-ray powder pattern of HPbClO was computed for Cu Kα (λ = 1.5418 Å).

Peak list (8 most intense, 5° ≤ 2θ ≤ 70°, most intense first)
26.72 deg, rel. 100, hkl 1 1 1; 21.72 deg, rel. 81, hkl 1 0 2; 34.88 deg, rel. 51, hkl 0 1 3; 43.26 deg, rel. 31, hkl 2 1 3; 34.50 deg, rel. 27, hkl 2 1 1; 24.78 deg, rel. 25, hkl 2 0 0; 30.99 deg, rel. 22, hkl 1 1 2; 52.73 deg, rel. 21, hkl 1 1 5

Structure:
```
data_HPbClO
_symmetry_space_group_name_H-M 'P n m a'
_symmetry_Int_Tables_number 62
_symmetry_space_group_name_Hall '-P 2ac 2n'
_cell_length_a 7.185
_cell_length_b 4.070
_cell_length_c 9.958
_cell_angle_alpha 90.00
_cell_angle_beta 90.00
_cell_angle_gamma 90.00
loop_
_atom_site_label
_atom_site_fract_x
_atom_site_fract_y
_atom_site_fract_z
H1 0.219 0.250 0.113
Pb1 0.202 0.750 0.911
Cl1 0.059 0.250 0.678
O1 0.130 0.250 0.039
```

***

Entry 6:
Starting from a structure optimized by DFT (PBE), the X-ray powder pattern of Gd3InS6 was computed for Cu Kα (λ = 1.5418 Å).

Peak list (8 most intense, 5° ≤ 2θ ≤ 70°, most intense first)
25.01 deg, rel. 100, hkl 2 4 0; 26.75 deg, rel. 58, hkl 4 1 0; 35.26 deg, rel. 50, hkl 0 5 1; 25.90 deg, rel. 49, hkl 1 2 1; 34.22 deg, rel. 43, hkl 3 3 1; 30.80 deg, rel. 36, hkl 2 3 1; 44.43 deg, rel. 35, hkl 0 7 1; 40.70 deg, rel. 34, hkl 5 1 1

Structure:
```
data_Gd3InS6
_symmetry_space_group_name_H-M 'P 21 21 2'
_symmetry_Int_Tables_number 18
_symmetry_space_group_name_Hall 'P 2 2ab'
_cell_length_a 13.599
_cell_length_b 16.714
_cell_length_c 3.929
_cell_angle_alpha 90.00
_cell_angle_beta 90.00
_cell_angle_gamma 90.00
loop_
_atom_site_label
_atom_site_fract_x
_atom_site_fract_y
_atom_site_fract_z
Gd1 0.036 0.223 0.247
Gd2 0.191 0.643 0.250
Gd3 0.247 0.390 0.237
In1 0.000 0.000 0.892
In2 0.000 0.500 0.747
S1 0.021 0.395 0.247
S2 0.103 0.908 0.269
S3 0.108 0.114 0.748
S4 0.115 0.744 0.751
S5 0.178 0.283 0.741
S6 0.192 0.519 0.749
```

***

Entry 7:
Starting from a structure optimized by DFT (PBE), the X-ray powder pattern of RbSnS2 was computed for Cu Kα (λ = 1.5418 Å).

Peak list (8 most intense, 5° ≤ 2θ ≤ 70°, most intense first)
31.88 deg, rel. 100, hkl 0 1 5; 25.69 deg, rel. 51, hkl 1 0 1; 44.77 deg, rel. 48, hkl 1 1 0; 37.14 deg, rel. 41, hkl 1 0 7; 26.53 deg, rel. 40, hkl 0 1 2; 22.78 deg, rel. 31, hkl 0 0 6; 66.56 deg, rel. 24, hkl 1 1 12; 50.80 deg, rel. 24, hkl 1 1 6

Structure:
```
data_RbSnS2
_symmetry_space_group_name_H-M 'R 3 m'
_symmetry_Int_Tables_number 160
_symmetry_space_group_name_Hall 'R 3 -2"'
_cell_length_a 4.0490
_cell_length_b 4.0490
_cell_length_c 23.4256
_cell_angle_alpha 90.00
_cell_angle_beta 90.00
_cell_angle_gamma 120.00
loop_
_atom_site_label
_atom_site_fract_x
_atom_site_fract_y
_atom_site_fract_z
Rb1 0.0000 0.0000 0.0000
Sn1 0.0000 0.0000 0.8329
S1 0.0000 0.0000 0.2307
S2 0.0000 0.0000 0.4356
```

***

Entry 8:
Starting from a structure optimized by DFT (PBE), the X-ray powder pattern of BaSrPdF6 was computed for Cu Kα (λ = 1.5418 Å).

Peak list (8 most intense, 5° ≤ 2θ ≤ 70°, most intense first)
25.93 deg, rel. 100, hkl 1 1 3; 43.44 deg, rel. 36, hkl 0 2 6; 42.04 deg, rel. 19, hkl 2 2 0; 50.14 deg, rel. 16, hkl 3 1 3; 49.96 deg, rel. 16, hkl 1 3 3; 52.50 deg, rel. 13, hkl 1 1 9; 29.45 deg, rel. 11, hkl 2 0 0; 29.31 deg, rel. 11, hkl 0 2 0

Structure:
```
data_BaSrPdF6
_symmetry_space_group_name_H-M 'A e a 2'
_symmetry_Int_Tables_number 41
_symmetry_space_group_name_Hall 'A 2 -2ab'
_cell_length_a 6.066
_cell_length_b 6.093
_cell_length_c 17.163
_cell_angle_alpha 90.00
_cell_angle_beta 90.00
_cell_angle_gamma 90.00
loop_
_atom_site_label
_atom_site_fract_x
_atom_site_fract_y
_atom_site_fract_z
Ba1 0.000 0.000 0.000
Sr1 0.000 0.000 0.676
Pd1 0.000 0.000 0.332
F1 0.159 0.162 0.417
F2 0.161 0.167 0.249
F3 0.247 0.254 0.593
```

***

Entry 9:
Starting from a structure optimized by DFT (PBE), the X-ray powder pattern of La5Mg was computed for Cu Kα (λ = 1.5418 Å).

Peak list (8 most intense, 5° ≤ 2θ ≤ 70°, most intense first)
31.95 deg, rel. 100, hkl 1 1 1; 30.20 deg, rel. 26, hkl 0 0 2; 28.07 deg, rel. 25, hkl 1 1 0; 59.24 deg, rel. 22, hkl 3 0 2; 54.75 deg, rel. 22, hkl 1 1 3; 49.67 deg, rel. 19, hkl 3 0 0; 41.69 deg, rel. 17, hkl 1 1 2; 60.28 deg, rel. 16, hkl 2 2 1

Structure:
```
data_La5Mg
_symmetry_space_group_name_H-M 'P -6 2 m'
_symmetry_Int_Tables_number 189
_symmetry_space_group_name_Hall 'P -6 -2'
_cell_length_a 6.3585
_cell_length_b 6.3585
_cell_length_c 5.9192
_cell_angle_alpha 90.00
_cell_angle_beta 90.00
_cell_angle_gamma 120.00
loop_
_atom_site_label
_atom_site_fract_x
_atom_site_fract_y
_atom_site_fract_z
La1 0.0000 0.6824 0.0000
La2 0.3333 0.6667 0.5000
Mg1 0.0000 0.0000 0.5000
```

***

Entry 10:
Starting from a structure optimized by DFT (PBE), the X-ray powder pattern of HoInAu was computed for Cu Kα (λ = 1.5418 Å).

Peak list (8 most intense, 5° ≤ 2θ ≤ 70°, most intense first)
34.97 deg, rel. 100, hkl 2 0 1; 32.26 deg, rel. 88, hkl 1 1 1; 40.15 deg, rel. 59, hkl 3 0 0; 42.19 deg, rel. 42, hkl 2 1 1; 64.74 deg, rel. 38, hkl 3 2 1; 62.53 deg, rel. 32, hkl 3 0 2; 35.24 deg, rel. 32, hkl 2 1 0; 45.82 deg, rel. 27, hkl 0 0 2

Structure:
```
data_HoInAu
_symmetry_space_group_name_H-M 'P -6 2 m'
_symmetry_Int_Tables_number 189
_symmetry_space_group_name_Hall 'P -6 -2'
_cell_length_a 7.7805
_cell_length_b 7.7805
_cell_length_c 3.9603
_cell_angle_alpha 90.00
_cell_angle_beta 90.00
_cell_angle_gamma 120.00
loop_
_atom_site_label
_atom_site_fract_x
_atom_site_fract_y
_atom_site_fract_z
Ho1 0.0000 0.5986 0.0000
In1 0.0000 0.2630 0.5000
Au1 0.0000 0.0000 0.0000
Au2 0.3333 0.6667 0.5000
```

***

Entry 11:
Starting from a structure optimized by DFT (PBE), the X-ray powder pattern of LuHg was computed for Cu Kα (λ = 1.5418 Å).

Peak list (4 most intense, 5° ≤ 2θ ≤ 70°, most intense first)
34.70 deg, rel. 100, hkl 1 1 0; 62.20 deg, rel. 38, hkl 2 1 1; 49.89 deg, rel. 18, hkl 2 0 0; 24.35 deg, rel. 1, hkl 1 0 0

Structure:
```
data_LuHg
_symmetry_space_group_name_H-M 'P m -3 m'
_symmetry_Int_Tables_number 221
_symmetry_space_group_name_Hall '-P 4 2 3'
_cell_length_a 3.656
_cell_length_b 3.656
_cell_length_c 3.656
_cell_angle_alpha 90.00
_cell_angle_beta 90.00
_cell_angle_gamma 90.00
loop_
_atom_site_label
_atom_site_fract_x
_atom_site_fract_y
_atom_site_fract_z
Lu1 0.000 0.000 0.000
Hg1 0.500 0.500 0.500
```